Entry 1:
This entry pairs a crystal structure of GdSbS with its theoretical powder diffraction line list. Radiation: Cu Kα (weighted mean of Kα1 and Kα2). Structure: DFT lattice parameters and positions (PBE).
Lines closer than 0.1° are merged.

abc: 4.1047 17.5126 5.8167
angles: 90.00 134.83 90.00
Space group P2_1/c (No. 14)
Symmetry-distinct sites (fractional):
1 Gd 0.0266 0.1545 0.2784 [4 per cell]
2 Sb 0.4928 0.5007 0.7442 [4 per cell]
3 S 0.0309 0.1863 0.7808 [4 per cell]

Principal peaks in the range 10° ≤ 2θ ≤ 90°, low angle first:
hkl 1 2 -1, 2θ 23.89, d = 3.724 Å, intensity 76
hkl 0 4 1, 2θ 29.79, d = 2.999 Å, intensity 15
hkl 0 6 0, 2θ 30.63, d = 2.918 Å, intensity 62
hkl 1 2 0, 2θ 32.42, d = 2.761 Å, intensity 100
hkl 1 4 0, 2θ 37.10, d = 2.423 Å, intensity 96
hkl 0 0 2, 2θ 43.90, d = 2.063 Å, intensity 25
hkl 2 0 -2, 2θ 44.13, d = 2.052 Å, intensity 27
hkl 1 8 -1, 2θ 47.02, d = 1.933 Å, intensity 21
hkl 0 6 2, 2θ 54.47, d = 1.684 Å, intensity 21
hkl 2 6 -2, 2θ 54.67, d = 1.679 Å, intensity 23
hkl 1 10 0, 2θ 61.83, d = 1.501 Å, intensity 26
hkl 2 6 0, 2θ 72.61, d = 1.302 Å, intensity 18

---

Entry 2:
This entry pairs a crystal structure of TlIn4S5Cl with its theoretical powder diffraction line list. Radiation: Cu Kα (weighted mean of Kα1 and Kα2). Structure: DFT lattice parameters and positions (PBE).
Lines closer than 0.1° are merged.

abc: 9.1143 3.9949 15.2299
angles: 90.00 93.39 90.00
Space group P2_1/m (No. 11)
Symmetry-distinct sites (fractional):
1 Tl 0.1072 0.2500 0.1565 [2 per cell]
2 In 0.1588 0.7500 0.4467 [2 per cell]
3 In 0.2635 0.7500 0.7062 [2 per cell]
4 In 0.3687 0.2500 0.9371 [2 per cell]
5 In 0.4531 0.2500 0.3545 [2 per cell]
6 S 0.0323 0.7500 0.6001 [2 per cell]
7 S 0.1883 0.2500 0.8009 [2 per cell]
8 S 0.2932 0.7500 0.2981 [2 per cell]
9 S 0.3316 0.2500 0.5006 [2 per cell]
10 S 0.4666 0.2500 0.1002 [2 per cell]
11 Cl 0.1734 0.7500 0.9961 [2 per cell]

Principal peaks in the range 10° ≤ 2θ ≤ 90°, low angle first:
hkl 1 0 3, 2θ 20.56, d = 4.320 Å, intensity 79
hkl 0 1 1, 2θ 23.02, d = 3.864 Å, intensity 51
hkl 1 0 -4, 2θ 24.87, d = 3.580 Å, intensity 46
hkl 1 1 1, 2θ 25.18, d = 3.537 Å, intensity 39
hkl 1 1 2, 2θ 27.31, d = 3.266 Å, intensity 44
hkl 2 0 -4, 2θ 29.73, d = 3.005 Å, intensity 85
hkl 1 0 5, 2θ 31.60, d = 2.832 Å, intensity 58
hkl 2 1 2, 2θ 32.49, d = 2.756 Å, intensity 40
hkl 2 1 -3, 2θ 34.12, d = 2.628 Å, intensity 50
hkl 0 1 5, 2θ 37.19, d = 2.418 Å, intensity 100
hkl 0 2 0, 2θ 45.41, d = 1.997 Å, intensity 63
hkl 4 1 -2, 2θ 46.91, d = 1.937 Å, intensity 34

---

Entry 3:
This entry pairs a crystal structure of EuCuSeO with its theoretical powder diffraction line list. Radiation: Cu Kα (weighted mean of Kα1 and Kα2). Structure: DFT lattice parameters and positions (PBE).
Lines closer than 0.1° are merged.

abc: 4.0222 4.0222 8.9927
angles: 90.00 90.00 90.00
Space group P4/nmm (No. 129, origin choice 2)
Symmetry-distinct sites (fractional):
1 Eu 0.2500 0.2500 0.1250 [2 per cell]
2 Cu 0.2500 0.7500 0.5000 [2 per cell]
3 Se 0.2500 0.2500 0.6640 [2 per cell]
4 O 0.2500 0.7500 0.0000 [2 per cell]

Principal peaks in the range 10° ≤ 2θ ≤ 90°, low angle first:
hkl 1 0 2, 2θ 29.80, d = 2.998 Å, intensity 100
hkl 1 1 0, 2θ 31.45, d = 2.844 Å, intensity 18
hkl 1 1 1, 2θ 33.03, d = 2.712 Å, intensity 21
hkl 1 1 2, 2θ 37.42, d = 2.404 Å, intensity 28
hkl 2 0 0, 2θ 45.08, d = 2.011 Å, intensity 31
hkl 1 1 4, 2θ 51.84, d = 1.764 Å, intensity 33
hkl 2 1 2, 2θ 54.98, d = 1.670 Å, intensity 37
hkl 2 2 0, 2θ 65.66, d = 1.422 Å, intensity 10
hkl 1 0 6, 2θ 66.58, d = 1.404 Å, intensity 7
hkl 3 0 2, 2θ 73.74, d = 1.285 Å, intensity 8
hkl 1 0 7, 2θ 78.09, d = 1.224 Å, intensity 8
hkl 3 1 4, 2θ 88.28, d = 1.107 Å, intensity 14

---

Entry 4:
This entry pairs a crystal structure of Li2CeGa with its theoretical powder diffraction line list. Radiation: Cu Kα (weighted mean of Kα1 and Kα2). Structure: DFT lattice parameters and positions (PBE).
Lines closer than 0.1° are merged.

abc: 6.7626 6.7626 6.7626
angles: 90.00 90.00 90.00
Space group Fm-3m (No. 225)
Symmetry-distinct sites (fractional):
1 Li 0.2500 0.2500 0.2500 [8 per cell]
2 Ce 0.0000 0.0000 0.0000 [4 per cell]
3 Ga 0.0000 0.0000 0.5000 [4 per cell]

Principal peaks in the range 10° ≤ 2θ ≤ 90°, low angle first:
hkl 1 1 1, 2θ 22.78, d = 3.904 Å, intensity 20
hkl 2 0 0, 2θ 26.36, d = 3.381 Å, intensity 100
hkl 2 2 0, 2θ 37.62, d = 2.391 Å, intensity 95
hkl 3 1 1, 2θ 44.43, d = 2.039 Å, intensity 10
hkl 2 2 2, 2θ 46.52, d = 1.952 Å, intensity 28
hkl 4 0 0, 2θ 54.26, d = 1.691 Å, intensity 16
hkl 3 3 1, 2θ 59.59, d = 1.551 Å, intensity 4
hkl 4 2 0, 2θ 61.30, d = 1.512 Å, intensity 37
hkl 4 2 2, 2θ 67.90, d = 1.380 Å, intensity 33
hkl 4 4 0, 2θ 80.31, d = 1.195 Å, intensity 10
hkl 5 3 1, 2θ 84.82, d = 1.143 Å, intensity 3
hkl 6 0 0, 2θ 86.31, d = 1.127 Å, intensity 18